Structure and simulated X-ray powder pattern of K2H3IrNCl5 (the GGA-PBE geometry in OQMD; Cu Kα (λ = 1.5418 Å)).

Main lines, sorted by position (10° ≤ 2θ ≤ 90°):
hkl 0 1 1, d 5.831, intensity 991
hkl 2 1 0, d 5.629, intensity 1000
hkl 0 2 0, d 4.985, intensity 231
hkl 2 0 1, d 4.948, intensity 541
hkl 2 2 1, d 3.512, intensity 338
hkl 4 1 1, d 2.944, intensity 222
hkl 3 0 2, d 2.820, intensity 255
hkl 0 4 0, d 2.492, intensity 320
hkl 4 4 2, d 1.755, intensity 171
hkl 6 4 1, d 1.637, intensity 180

Structural model:
```
K2H3IrNCl5
1.0
13.639 0.000 0.000
0.000 9.970 0.000
0.000 0.000 7.189
K H Ir N Cl
8 12 4 4 20
direct
0.155 0.000 0.122 K
0.155 0.500 0.122 K
0.345 0.000 0.622 K
0.345 0.500 0.622 K
0.655 0.000 0.378 K
0.655 0.500 0.378 K
0.845 0.000 0.878 K
0.845 0.500 0.878 K
0.010 0.166 0.573 H
0.010 0.334 0.573 H
0.074 0.250 0.418 H
0.426 0.750 0.918 H
0.490 0.666 0.073 H
0.490 0.834 0.073 H
0.510 0.166 0.927 H
0.510 0.334 0.927 H
0.574 0.250 0.082 H
0.926 0.750 0.582 H
0.990 0.666 0.427 H
0.990 0.834 0.427 H
0.112 0.750 0.686 Ir
0.388 0.250 0.186 Ir
0.612 0.750 0.814 Ir
0.888 0.250 0.314 Ir
0.008 0.250 0.489 N
0.492 0.750 0.989 N
0.508 0.250 0.011 N
0.992 0.750 0.511 N
0.006 0.750 0.950 Cl
0.110 0.513 0.686 Cl
0.110 0.987 0.686 Cl
0.213 0.750 0.418 Cl
0.247 0.250 0.386 Cl
0.253 0.750 0.886 Cl
0.287 0.250 0.918 Cl
0.390 0.013 0.186 Cl
0.390 0.487 0.186 Cl
0.494 0.250 0.450 Cl
0.506 0.750 0.550 Cl
0.610 0.513 0.814 Cl
0.610 0.987 0.814 Cl
0.713 0.750 0.082 Cl
0.747 0.250 0.114 Cl
0.753 0.750 0.614 Cl
0.787 0.250 0.582 Cl
0.890 0.013 0.314 Cl
0.890 0.487 0.314 Cl
0.994 0.250 0.050 Cl
```